Structure and theoretical XRD peak list of KH4N (a PBE-relaxed structure; Cu Kα (weighted mean of Kα1 and Kα2)).
Lines closer than 0.1° are merged.

Crystal structure
```
KH4N
1.0
4.607 0.000 0.000
1.301 4.419 0.000
0.608 0.457 6.948
K H N
1 4 1
direct
0.000 0.000 0.000
0.392 0.396 0.413
0.430 0.743 0.457
0.461 0.464 0.640
0.740 0.432 0.457
0.506 0.509 0.492
```

Largest 10 diffraction maxima, in order of rising 2θ, 15° ≤ 2θ ≤ 90°:
d = 4.410 Å, rel. 172, (1 0 0)
d = 3.839 Å, rel. 1000, (1 0 1)
d = 3.667 Å, rel. 436, (1 1 0)
d = 3.618 Å, rel. 846, (1 0 -1)
d = 3.474 Å, rel. 373, (0 0 2)
d = 2.759 Å, rel. 179, (1 -1 0)
d = 2.671 Å, rel. 162, (1 1 2)
d = 2.205 Å, rel. 165, (2 0 0)
d = 2.192 Å, rel. 159, (2 1 1)
d = 2.161 Å, rel. 145, (1 -1 2)



Structure and theoretical XRD peak list of NpUF6 (a PBE-relaxed structure; Cu Kα (weighted mean of Kα1 and Kα2)).
Lines closer than 0.1° are merged.

Crystal structure
```
NpUF6
1.0
5.598 0.000 0.000
0.000 5.598 0.000
0.000 0.000 8.306
Np U F
2 2 12
direct
0.000 0.000 0.000
0.000 0.000 0.500
0.500 0.500 0.250
0.500 0.500 0.750
0.179 0.265 0.180
0.179 0.265 0.820
0.265 0.821 0.320
0.265 0.821 0.680
0.299 0.341 0.500
0.341 0.701 0.000
0.659 0.299 0.000
0.701 0.659 0.500
0.735 0.179 0.320
0.735 0.179 0.680
0.821 0.735 0.180
0.821 0.735 0.820
```

Largest 10 diffraction maxima, in order of rising 2θ, 15° ≤ 2θ ≤ 90°:
d = 3.958 Å, rel. 871, (1 1 0)
d = 3.335 Å, rel. 1000, (1 0 2)
d = 2.799 Å, rel. 232, (2 0 0)
d = 2.144 Å, rel. 749, (2 1 2)
d = 1.979 Å, rel. 172, (2 2 0)
d = 1.839 Å, rel. 224, (1 1 4)
d = 1.770 Å, rel. 189, (1 3 0)
d = 1.702 Å, rel. 207, (3 0 2)
d = 1.454 Å, rel. 179, (3 2 2)
d = 1.347 Å, rel. 154, (3 1 4)